1.
This entry pairs a crystal structure of Pm6C3F2 with its calculated powder diffractogram. Radiation: Cu Kα (weighted mean of Kα1 and Kα2). Structure: a crystal structure in Alexandria, relaxed with PBE.
Kinematic intensities with the Lorentz-polarization factor, no thermal factor.

Most intense lines, 5° ≤ 2θ ≤ 70°, most intense first:
two_theta, intensity
29.49, 100
34.04, 62
49.26, 34
28.86, 32
33.93, 31
48.44, 29

Atomic structure:
abc: 6.4045 6.4045 6.5524
angles: 99.48 99.48 119.90
Positions (direct):
1 Pm 0.0731 0.4087 0.2245
2 Pm 0.2554 0.2554 0.7769
3 Pm 0.4087 0.0731 0.2245
4 Pm 0.5913 0.9269 0.7755
5 Pm 0.7446 0.7446 0.2231
6 Pm 0.9269 0.5913 0.7755
7 C 0.0000 0.0000 0.0000
8 C 0.3325 0.6675 0.0000
9 C 0.6675 0.3325 0.0000
10 F 0.1677 0.8323 0.5000
11 F 0.8323 0.1677 0.5000


2.
This entry pairs a crystal structure of PaAgPbSe4 with its calculated powder diffractogram. Radiation: Cu Kα (weighted mean of Kα1 and Kα2). Structure: a crystal structure in Alexandria, relaxed with PBE.
Kinematic intensities with the Lorentz-polarization factor, no thermal factor.

Most intense lines, 5° ≤ 2θ ≤ 70°, most intense first:
two_theta, intensity
42.20, 100
24.45, 96
24.29, 61
12.70, 40
38.84, 38
20.73, 37

Atomic structure:
abc: 8.5693 8.5693 8.5693
angles: 120.55 120.11 89.43
Positions (direct):
1 Pa 0.0000 0.0000 0.0000
2 Pa 0.5000 0.0000 0.5000
3 Ag 0.5000 0.0000 0.0000
4 Ag 0.5000 0.5000 0.5000
5 Pb 0.0934 0.3434 0.7500
6 Pb 0.9066 0.6566 0.2500
7 Se 0.2382 0.2048 0.4666
8 Se 0.2382 0.7716 0.0334
9 Se 0.2668 0.2256 0.0412
10 Se 0.3156 0.7744 0.5412
11 Se 0.6844 0.2256 0.4588
12 Se 0.7332 0.7744 0.9588
13 Se 0.7618 0.2284 0.9666
14 Se 0.7618 0.7952 0.5334